Record 1
For Rb2MgCu4H5S4O20, DFT lattice parameters and positions (PBE) gives the theoretical X-ray powder pattern in this record (Cu Kα).
No peak broadening, texture or thermal motion is included.

Crystal structure
```
36
Lattice="6.463 0.000 0.000 0.241 8.323 0.000 0.930 3.369 8.412" Properties=species:S:1:pos:R:3 pbc="T T T"
Rb 0.000 0.000 0.000
Rb 3.737 6.194 3.345
Mg 5.135 2.526 5.500
Cu 2.414 9.056 5.812
Cu 1.856 3.057 1.571
Cu 5.138 2.995 1.597
Cu 6.023 7.478 6.223
H 0.269 4.189 0.120
H 1.818 6.944 6.700
H 2.680 2.873 4.629
H 3.392 1.896 3.658
H 3.454 1.254 1.698
S 4.343 9.760 8.267
S 4.264 5.515 7.166
S 6.895 8.584 3.453
S 7.007 4.192 4.453
O 0.238 3.891 1.068
O 1.336 7.791 6.812
O 1.798 8.344 4.065
O 1.699 3.949 3.512
O 3.042 9.869 7.489
O 3.059 5.578 8.050
O 3.293 2.092 4.689
O 3.502 7.564 0.745
O 3.492 2.113 2.173
O 3.484 5.126 0.600
O 4.213 6.706 6.214
O 4.223 4.268 6.375
O 5.458 9.803 7.236
O 5.540 5.637 7.936
O 5.670 3.904 3.813
O 5.938 8.934 4.595
O 6.437 7.387 2.760
O 6.733 1.426 2.534
O 7.102 5.539 4.999
O 7.100 3.152 5.558
```

Principal peaks in the range 15° ≤ 2θ ≤ 90°, in order of rising 2θ:
2theta	I (rel.)
18.04	21.0
18.25	31.7
25.13	24.3
26.02	70.2
29.58	100.0
30.00	27.7
31.35	33.3
32.62	21.0
33.38	18.0
47.04	16.8



Record 2
For Bi2Se3, DFT lattice parameters and positions (PBE) gives the theoretical X-ray powder pattern in this record (Cu Kα).
No peak broadening, texture or thermal motion is included.

Crystal structure
```
20
Lattice="12.536 0.000 0.000 0.000 4.160 0.000 0.000 0.000 11.622" Properties=species:S:1:pos:R:3 pbc="T T T"
Bi 0.272 1.040 1.971
Bi 1.864 3.120 5.369
Bi 4.404 1.040 11.180
Bi 5.996 3.120 7.782
Bi 6.540 1.040 3.841
Bi 8.132 3.120 0.443
Bi 10.671 1.040 6.254
Bi 12.264 3.120 9.652
Se 0.640 1.040 7.383
Se 1.580 3.120 0.563
Se 2.657 1.040 3.546
Se 3.611 3.120 9.357
Se 4.688 1.040 6.374
Se 5.628 3.120 1.571
Se 6.908 1.040 10.051
Se 7.848 3.120 5.249
Se 8.925 1.040 2.265
Se 9.879 3.120 8.076
Se 10.956 1.040 11.060
Se 11.895 3.120 4.240
```

Principal peaks in the range 15° ≤ 2θ ≤ 90°, in order of rising 2θ:
2theta	I (rel.)
22.64	64.0
27.31	92.7
30.02	100.0
31.55	44.8
32.44	73.6
34.07	40.8
43.51	42.1
43.74	45.4
44.64	38.7
48.77	43.3



Record 3
For Sr10Li24NiN15, DFT lattice parameters and positions (PBE) gives the theoretical X-ray powder pattern in this record (Cu Kα).
No peak broadening, texture or thermal motion is included.

Crystal structure
```
50
Lattice="1.887 -52.010 0.000 1.887 52.010 0.000 0.000 0.000 3.917" Properties=species:S:1:pos:R:3 pbc="T T T"
Sr 1.887 50.181 0.000
Sr 1.887 33.000 0.000
Sr 1.887 29.416 0.000
Sr 1.887 12.191 0.000
Sr 1.887 8.610 0.000
Sr 1.887 -8.610 0.000
Sr 1.887 -12.191 0.000
Sr 1.887 -29.416 0.000
Sr 1.887 -33.000 0.000
Sr 1.887 -50.181 0.000
Li 1.887 47.392 0.000
Li 1.887 45.364 1.958
Li 1.887 41.608 1.958
Li 1.887 37.854 1.958
Li 1.887 35.817 0.000
Li 1.887 26.598 0.000
Li 1.887 24.558 1.958
Li 1.887 20.803 1.958
Li 1.887 17.049 1.958
Li 1.887 15.011 0.000
Li 1.887 5.793 0.000
Li 1.887 3.747 1.958
Li 1.887 -3.747 1.958
Li 1.887 -5.793 0.000
Li 1.887 -15.011 0.000
Li 1.887 -17.049 1.958
Li 1.887 -20.803 1.958
Li 1.887 -24.558 1.958
Li 1.887 -26.598 0.000
Li 1.887 -35.817 0.000
Li 1.887 -37.854 1.958
Li 1.887 -41.608 1.958
Li 1.887 -45.364 1.958
Li 1.887 -47.392 0.000
Ni 1.887 0.000 1.958
N 0.000 0.000 1.958
N 1.887 45.258 0.000
N 1.887 37.954 0.000
N 1.887 31.206 1.958
N 1.887 24.457 0.000
N 1.887 17.153 0.000
N 1.887 10.403 1.958
N 1.887 3.668 0.000
N 1.887 -3.668 0.000
N 1.887 -10.403 1.958
N 1.887 -17.153 0.000
N 1.887 -24.457 0.000
N 1.887 -31.206 1.958
N 1.887 -37.954 0.000
N 1.887 -45.258 0.000
```

Principal peaks in the range 15° ≤ 2θ ≤ 90°, in order of rising 2θ:
2theta	I (rel.)
22.70	91.8
23.97	92.5
28.53	57.8
32.02	85.7
33.25	100.0
34.54	81.1
38.56	36.6
39.61	70.3
45.21	41.4
52.83	34.9